Diffraction record for Li9Mn2Co5O16. The powder diffractogram is simulated, not measured: it uses the PBE+U geometry in the Materials Project and a wavelength of 1.5418 Å.
Neutral-atom scattering factors, no anomalous dispersion.

```
32
Lattice="4.993 0.000 0.000 0.909 5.034 0.000 1.076 1.753 11.312" Properties=species:S:1:pos:R:3 pbc="T T T"
Li 0.000 0.000 0.000
Li 1.030 2.512 8.493
Li 3.477 2.893 6.970
Li 3.571 2.123 9.937
Li 3.491 4.523 1.357
Li 3.533 3.681 4.050
Li 4.249 1.836 2.072
Li 5.925 3.319 5.509
Li 5.900 4.167 2.672
Mn 2.672 5.616 6.246
Mn 1.760 1.421 3.428
Co 1.694 2.281 0.718
Co 2.736 4.805 9.158
Co 5.173 5.175 7.686
Co 4.250 0.995 4.850
Co 5.285 4.430 10.597
O 1.871 3.343 10.224
O 1.813 5.031 4.595
O 1.872 4.176 7.255
O 1.034 0.731 1.837
O 2.499 2.876 2.495
O 2.575 1.256 7.877
O 2.601 1.991 5.176
O 3.683 5.479 10.810
O 4.272 4.599 5.901
O 4.324 3.750 8.649
O 4.281 5.393 3.266
O 3.347 1.284 0.200
O 5.118 1.589 6.546
O 6.084 5.826 9.409
O 5.144 2.400 3.890
O 5.171 3.400 0.938
```

Largest 10 diffraction maxima, sorted by position, 2θ from 10° to 90°:
18.35 deg, I 100; 35.58 deg, I 14; 36.18 deg, I 14; 36.66 deg, I 13; 42.87 deg, I 28; 43.79 deg, I 27; 44.48 deg, I 26; 62.74 deg, I 7; 63.13 deg, I 15; 63.88 deg, I 7



Diffraction record for LiCoPO4. The powder diffractogram is simulated, not measured: it uses the PBE+U geometry in the Materials Project and a wavelength of 1.5418 Å.
Neutral-atom scattering factors, no anomalous dispersion.

```
28
Lattice="4.980 0.000 0.000 0.000 9.590 0.000 -0.004 0.000 7.292" Properties=species:S:1:pos:R:3 pbc="T T T"
Li 0.490 0.000 1.712
Li 1.985 2.714 5.349
Li 2.992 7.510 1.944
Li 4.487 4.795 5.580
Co 1.023 8.353 4.266
Co 1.472 4.032 0.613
Co 3.505 8.828 6.679
Co 3.954 3.558 3.026
P 0.664 7.138 7.245
P 1.832 5.231 3.614
P 3.145 0.435 3.678
P 4.313 2.343 0.047
O 0.058 7.734 5.905
O 0.190 2.962 6.212
O 0.350 4.828 3.771
O 0.516 5.603 7.140
O 1.995 6.766 3.563
O 2.149 7.542 0.121
O 2.282 9.360 2.579
O 2.432 4.685 2.248
O 2.545 9.480 5.044
O 2.695 4.565 4.713
O 2.828 2.747 7.171
O 2.982 1.971 3.729
O 4.461 0.808 0.153
O 4.627 0.033 3.521
O 4.787 7.757 1.080
O 4.918 2.939 1.388
```

Largest 10 diffraction maxima, sorted by position, 2θ from 10° to 90°:
15.26 deg, I 69; 18.50 deg, I 100; 20.09 deg, I 81; 22.19 deg, I 46; 23.54 deg, I 98; 24.41 deg, I 85; 31.82 deg, I 56; 35.57 deg, I 91; 35.81 deg, I 59; 53.54 deg, I 41



Diffraction record for Mg14NiBiO16. The powder diffractogram is simulated, not measured: it uses the PBE+U geometry in the Materials Project and a wavelength of 1.5418 Å.
Neutral-atom scattering factors, no anomalous dispersion.

```
32
Lattice="8.695 0.000 0.000 0.000 8.695 0.000 0.000 0.000 4.388" Properties=species:S:1:pos:R:3 pbc="T T T"
Mg 0.000 2.102 0.000
Mg 0.000 4.347 2.194
Mg 0.000 6.593 0.000
Mg 2.025 4.347 0.000
Mg 2.059 2.059 2.194
Mg 2.059 6.636 2.194
Mg 2.102 0.000 0.000
Mg 4.347 0.000 2.194
Mg 4.347 2.025 0.000
Mg 4.347 6.669 0.000
Mg 6.593 0.000 0.000
Mg 6.636 2.059 2.194
Mg 6.636 6.636 2.194
Mg 6.669 4.347 0.000
Ni 0.000 0.000 2.194
Bi 4.347 4.347 2.194
O 0.000 0.000 0.000
O 0.000 2.278 2.194
O 0.000 4.347 0.000
O 0.000 6.416 2.194
O 2.037 4.347 2.194
O 2.184 2.184 0.000
O 2.184 6.511 0.000
O 2.278 0.000 2.194
O 4.347 0.000 0.000
O 4.347 2.037 2.194
O 4.347 4.347 0.000
O 4.347 6.657 2.194
O 6.416 0.000 2.194
O 6.511 2.184 0.000
O 6.511 6.511 0.000
O 6.657 4.347 2.194
```

Largest 10 diffraction maxima, sorted by position, 2θ from 10° to 90°:
10.17 deg, I 52; 14.41 deg, I 70; 20.43 deg, I 40; 24.93 deg, I 46; 28.91 deg, I 34; 35.66 deg, I 54; 38.64 deg, I 33; 41.14 deg, I 53; 41.55 deg, I 100; 59.90 deg, I 61



Diffraction record for Li9Mn2Co5O16. The powder diffractogram is simulated, not measured: it uses the PBE+U geometry in the Materials Project and a wavelength of 1.5418 Å.
Neutral-atom scattering factors, no anomalous dispersion.

```
32
Lattice="4.982 0.000 0.000 -0.164 5.943 0.000 -0.589 -1.768 9.636" Properties=species:S:1:pos:R:3 pbc="T T T"
Li 0.000 0.000 0.000
Li -0.070 3.016 0.009
Li 0.777 4.313 4.750
Li 0.886 1.368 4.768
Li 1.615 2.925 2.367
Li 2.417 1.547 0.010
Li 1.800 2.668 9.635
Li 3.261 2.828 4.727
Li 3.426 -0.094 4.750
Mn 0.057 2.785 7.181
Mn 1.684 -0.067 2.395
Co 0.131 -0.187 7.205
Co 2.588 1.284 7.193
Co 2.504 4.290 7.194
Co 4.031 4.372 2.357
Co 4.143 1.472 2.372
O -0.209 2.935 3.384
O 0.132 -0.228 3.488
O 0.670 4.518 1.318
O 0.772 1.327 1.354
O 1.001 1.124 8.332
O 0.936 4.137 8.326
O 1.705 -0.174 6.111
O 1.645 2.795 6.047
O 2.529 1.325 3.447
O 2.493 4.494 3.423
O 3.351 -0.031 1.360
O 3.331 3.128 1.229
O 3.438 2.776 8.284
O 3.540 -0.184 8.302
O 4.079 4.447 6.080
O 4.172 1.421 6.053
```

Largest 10 diffraction maxima, sorted by position, 2θ from 10° to 90°:
18.41 deg, I 100; 35.09 deg, I 17; 36.26 deg, I 13; 36.75 deg, I 12; 37.37 deg, I 8; 42.29 deg, I 31; 44.10 deg, I 27; 44.61 deg, I 26; 62.55 deg, I 8; 65.14 deg, I 9



Diffraction record for TmWBrO4. The powder diffractogram is simulated, not measured: it uses the PBE+U geometry in the Materials Project and a wavelength of 1.5418 Å.
Neutral-atom scattering factors, no anomalous dispersion.

```
28
Lattice="6.984 0.000 0.000 -0.648 7.234 0.000 -3.419 -2.760 10.015" Properties=species:S:1:pos:R:3 pbc="T T T"
Tm -0.162 1.791 2.336
Tm -1.407 -1.275 7.315
Tm 4.324 5.748 2.700
Tm 3.079 2.683 7.679
W 0.593 5.537 1.339
W -0.653 2.511 6.264
W 3.570 1.963 3.751
W 2.324 -1.064 8.676
Br -0.645 5.835 4.807
Br 1.923 1.956 0.166
Br 0.994 2.517 9.849
Br 3.562 -1.361 5.208
O 0.009 -0.419 1.890
O -0.071 3.992 2.014
O -2.689 2.657 9.561
O -1.819 3.728 7.067
O -0.716 2.369 4.448
O -1.069 0.915 7.003
O 1.861 1.605 3.322
O 0.694 -1.377 7.978
O 2.223 5.851 2.036
O 1.056 2.869 6.693
O 3.986 3.559 3.012
O 3.633 2.105 5.567
O 4.736 0.746 2.948
O 5.606 1.816 0.453
O 2.987 0.482 8.001
O 2.908 4.893 8.124
```

Largest 10 diffraction maxima, sorted by position, 2θ from 10° to 90°:
13.55 deg, I 26; 24.70 deg, I 100; 25.86 deg, I 51; 27.29 deg, I 35; 27.61 deg, I 26; 29.93 deg, I 38; 30.66 deg, I 30; 33.37 deg, I 26; 36.09 deg, I 19; 50.66 deg, I 20



Diffraction record for CoH8Br2O4. The powder diffractogram is simulated, not measured: it uses the PBE+U geometry in the Materials Project and a wavelength of 1.5418 Å.
Neutral-atom scattering factors, no anomalous dispersion.

```
30
Lattice="6.122 0.000 0.000 0.000 7.596 0.000 -2.999 0.000 8.116" Properties=species:S:1:pos:R:3 pbc="T T T"
Co 0.000 0.000 0.000
Co -1.499 3.798 4.058
H -1.556 0.521 5.802
H -0.057 3.277 1.744
H -0.329 0.539 2.701
H -1.828 3.258 6.759
H 0.769 5.330 4.031
H -0.731 6.064 8.089
H 0.310 5.183 5.515
H 1.810 6.211 1.456
H 1.314 1.385 6.660
H 2.813 2.413 2.602
H 3.854 1.532 0.027
H 2.355 2.266 4.085
H 4.952 4.337 1.357
H 3.452 7.056 5.415
H 3.180 4.319 6.372
H 4.680 7.074 2.314
Br 0.118 1.748 4.673
Br 1.617 2.050 0.615
Br 1.506 5.546 7.501
Br 3.006 5.848 3.443
O -2.172 3.813 6.017
O -0.673 7.580 1.959
O -0.033 5.194 4.589
O 1.466 6.200 0.531
O 1.657 1.396 7.585
O 3.157 2.402 3.527
O 3.796 0.015 6.157
O 5.296 3.783 2.099
```

Largest 10 diffraction maxima, sorted by position, 2θ from 10° to 90°:
15.98 deg, I 30; 19.39 deg, I 100; 21.90 deg, I 42; 22.01 deg, I 41; 24.86 deg, I 46; 24.97 deg, I 31; 28.18 deg, I 64; 39.32 deg, I 86; 39.47 deg, I 35; 41.76 deg, I 30



Diffraction record for Ti5NiP6O24. The powder diffractogram is simulated, not measured: it uses the PBE+U geometry in the Materials Project and a wavelength of 1.5418 Å.
Neutral-atom scattering factors, no anomalous dispersion.

```
36
Lattice="4.359 2.516 6.729 -4.359 2.516 6.729 0.000 -5.033 6.729" Properties=species:S:1:pos:R:3 pbc="T T T"
Ti 0.000 0.000 0.000
Ti 0.000 0.000 2.836
Ti 0.000 0.000 7.229
Ti 0.000 0.000 10.075
Ti 0.000 0.000 12.934
Ni 0.000 0.000 17.301
P -1.812 -2.514 8.430
P -3.094 0.283 11.766
P -1.271 2.826 8.430
P 1.301 -2.821 11.766
P 3.083 -0.312 8.430
P 1.792 2.538 11.766
O -2.594 -2.559 9.703
O -0.864 -3.759 8.183
O -3.694 -1.115 12.037
O -1.663 -0.121 6.275
O -3.585 1.017 10.513
O -0.830 -1.281 8.568
O -2.824 2.628 8.183
O 0.936 -1.380 6.275
O 0.912 -3.613 10.513
O -1.542 0.123 11.556
O -0.694 1.360 8.568
O 0.727 1.501 6.275
O -0.776 -1.488 13.893
O 0.664 -1.397 11.556
O 1.525 -0.079 8.568
O -0.919 3.526 9.703
O -0.901 1.416 13.893
O 2.812 -2.641 12.037
O 0.878 1.274 11.556
O 3.513 -0.967 9.703
O 1.677 0.072 13.893
O 3.688 1.131 8.183
O 0.881 3.756 12.037
O 2.673 2.596 10.513
```

Largest 10 diffraction maxima, sorted by position, 2θ from 10° to 90°:
20.38 deg, I 62; 24.33 deg, I 100; 25.19 deg, I 14; 31.67 deg, I 16; 33.65 deg, I 50; 35.68 deg, I 31; 48.14 deg, I 27; 49.85 deg, I 19; 55.81 deg, I 20; 57.17 deg, I 14



Diffraction record for Li3Co3SbO8. The powder diffractogram is simulated, not measured: it uses the PBE+U geometry in the Materials Project and a wavelength of 1.5418 Å.
Neutral-atom scattering factors, no anomalous dispersion.

```
15
Lattice="6.001 0.000 0.000 -2.957 5.256 0.000 -0.069 -3.464 4.953" Properties=species:S:1:pos:R:3 pbc="T T T"
Li 0.000 0.000 0.000
Li -1.513 0.896 2.476
Li 3.000 0.000 0.000
Co -0.035 -1.732 2.476
Co 2.966 -1.732 2.476
Co 1.522 2.628 0.000
Sb -1.478 2.628 0.000
O 0.088 1.440 1.243
O -1.392 2.561 3.745
O 0.167 0.329 3.666
O 1.783 -0.346 0.996
O 1.191 2.138 3.957
O 2.808 1.463 1.287
O 4.367 -0.769 1.208
O 2.887 0.352 3.710
```

Largest 10 diffraction maxima, sorted by position, 2θ from 10° to 90°:
17.94 deg, I 100; 34.56 deg, I 35; 34.84 deg, I 33; 35.10 deg, I 26; 36.32 deg, I 26; 36.50 deg, I 23; 41.95 deg, I 32; 42.20 deg, I 29; 42.71 deg, I 32; 46.13 deg, I 19



Diffraction record for TiMnO3. The powder diffractogram is simulated, not measured: it uses the PBE+U geometry in the Materials Project and a wavelength of 1.5418 Å.
Neutral-atom scattering factors, no anomalous dispersion.

```
10
Lattice="2.595 1.498 4.810 -2.595 1.498 4.810 0.000 -2.996 4.810" Properties=species:S:1:pos:R:3 pbc="T T T"
Ti 0.000 0.000 2.112
Ti 0.000 0.000 12.316
Mn 0.000 0.000 5.177
Mn 0.000 0.000 9.252
O -1.017 -1.635 6.097
O -1.925 0.063 8.332
O -0.908 1.699 6.097
O 0.908 -1.699 8.332
O 1.925 -0.063 6.097
O 1.017 1.635 8.332
```

Largest 10 diffraction maxima, sorted by position, 2θ from 10° to 90°:
23.32 deg, I 27; 31.81 deg, I 100; 34.57 deg, I 66; 39.46 deg, I 23; 47.68 deg, I 39; 51.84 deg, I 45; 54.85 deg, I 11; 60.22 deg, I 32; 61.95 deg, I 31; 68.27 deg, I 11